# 1
This entry pairs a crystal structure of Pu5In2Sn with its calculated XRD peak list. Radiation: Cu Kα, 1.54184 Å. Structure: a structure optimized by DFT (PBE).

Atomic structure:
```
8
Lattice="6.4600 0.0000 0.0000 -3.1053 5.7301 0.0000 -3.1657 -1.9383 5.4211" Properties=species:S:1:pos:R:3 pbc="T T T"
Pu 0.0000 0.0000 0.0000
Pu -1.5828 -0.9691 2.7105
Pu -1.5527 2.8651 0.0000
Pu 1.6471 -0.9691 2.7105
Pu 1.6773 2.8651 0.0000
In -3.1355 1.8959 2.7105
In 0.0945 1.8959 2.7105
Sn 3.2300 0.0000 0.0000
```

Main lines, low angle first (2θ = 10–90°):
d_spacing	I/Imax
2.711	74.4
2.698	73.5
2.669	71.3
2.652	70.2
2.346	100.0
2.278	46.0
1.659	35.2
1.420	21.2

# 2
This entry pairs a crystal structure of K2Ac4Sb3O2 with its calculated XRD peak list. Radiation: Cu Kα, 1.54184 Å. Structure: a structure optimized by DFT (PBE).

Atomic structure:
```
11
Lattice="-2.6036 2.6036 13.8512 2.6036 -2.6036 13.8512 2.6036 2.6036 -13.8512" Properties=species:S:1:pos:R:3 pbc="T T T"
K 0.0000 0.0000 5.6698
K 0.0000 0.0000 22.0326
Ac 2.6036 0.0000 2.3646
Ac 2.6036 0.0000 11.4866
Ac 0.0000 2.6036 2.3646
Ac 0.0000 2.6036 11.4866
Sb 0.0000 0.0000 9.3033
Sb 0.0000 0.0000 13.8512
Sb 0.0000 0.0000 18.3991
O 0.0000 0.0000 2.4596
O 0.0000 0.0000 25.2428
```

Main lines, low angle first (2θ = 10–90°):
d_spacing	I/Imax
6.926	30.3
3.558	25.5
3.251	21.1
2.879	100.0
2.604	47.5
1.841	17.0
1.727	21.4
1.551	32.4